Entry 1:
BaSmAgSe2S: theoretical powder diffractogram (CuKα), based on a PBE-relaxed structure.
Kinematic intensities with the Lorentz-polarization factor, no thermal factor.

Largest 10 diffraction maxima, in order of falling intensity, 2θ from 10° to 90°:
2θ = 32.81°, I = 100, (1 3 2); 2θ = 29.34°, I = 77, (1 3 1); 2θ = 41.73°, I = 74, (1 5 2); 2θ = 28.08°, I = 49, (1 3 0); 2θ = 33.57°, I = 48, (0 0 4); 2θ = 42.23°, I = 40, (2 0 0); 2θ = 27.43°, I = 37, (1 1 2); 2θ = 33.34°, I = 36, (1 1 3); 2θ = 12.46°, I = 31, (0 2 0); 2θ = 56.39°, I = 27, (1 1 6)

Structural model:
```
data_BaSmAgSe2S
_space_group_name_H-M_alt 'C m c m'
_space_group_IT_number 63
_space_group_name_Hall '-C 2c 2'
_cell_length_a 4.280
_cell_length_b 14.210
_cell_length_c 10.680
_cell_angle_alpha 90.00
_cell_angle_beta 90.00
_cell_angle_gamma 90.00
loop_
_atom_site_label
_atom_site_fract_x
_atom_site_fract_y
_atom_site_fract_z
Ba1 0.000 0.240 0.250
Sm1 0.000 0.500 0.000
Ag1 0.000 0.029 0.750
Se1 0.000 0.140 0.553
S1 0.000 0.426 0.750
```

Entry 2:
BaTcAg2Se2S2: theoretical powder diffractogram (CuKα), based on a PBE-relaxed structure.
Kinematic intensities with the Lorentz-polarization factor, no thermal factor.

Largest 10 diffraction maxima, in order of falling intensity, 2θ from 10° to 90°:
2θ = 27.90°, I = 100, (0 2 1); 2θ = 28.28°, I = 76, (2 2 -1); 2θ = 36.14°, I = 50, (4 0 -2); 2θ = 34.89°, I = 41, (0 0 2); 2θ = 24.30°, I = 33, (2 0 0); 2θ = 35.17°, I = 32, (1 3 0); 2θ = 25.51°, I = 29, (2 0 -2); 2θ = 45.55°, I = 28, (4 2 -1); 2θ = 29.26°, I = 28, (1 1 1); 2θ = 16.25°, I = 24, (1 1 0)

Structural model:
```
data_BaTcAg2Se2S2
_space_group_name_H-M_alt 'C 1 2 1'
_space_group_IT_number 5
_cell_length_a 9.952
_cell_length_b 8.167
_cell_length_c 6.987
_cell_angle_alpha 90.00
_cell_angle_beta 132.60
_cell_angle_gamma 90.00
loop_
_space_group_symop_operation_xyz
'x,y,z'
'-x,y,-z'
'x+1/2,y+1/2,z'
'-x+1/2,y+1/2,-z'
loop_
_atom_site_label
_atom_site_fract_x
_atom_site_fract_y
_atom_site_fract_z
Ba1 0.000 0.000 0.000
Tc1 0.000 0.510 0.000
Ag1 0.000 0.312 0.500
Ag2 0.000 0.679 0.500
Se1 0.192 0.340 0.378
S1 0.176 0.665 0.981
```

Entry 3:
BaTcAg2SeS3: theoretical powder diffractogram (CuKα), based on a PBE-relaxed structure.
Kinematic intensities with the Lorentz-polarization factor, no thermal factor.

Largest 10 diffraction maxima, in order of falling intensity, 2θ from 10° to 90°:
2θ = 28.25°, I = 100, (1 0 1); 2θ = 28.82°, I = 92, (2 -1 0); 2θ = 36.67°, I = 50, (2 0 -2); 2θ = 25.14°, I = 48, (-1 1 1); 2θ = 26.08°, I = 39, (1 1 -1); 2θ = 36.40°, I = 39, (0 2 0); 2θ = 16.38°, I = 24, (0 0 1); 2θ = 35.91°, I = 22, (2 -2 1); 2θ = 52.52°, I = 19, (3 0 0); 2θ = 16.97°, I = 18, (0 1 -1)

Structural model:
```
data_BaTcAg2SeS3
_space_group_name_H-M_alt 'P 1'
_space_group_IT_number 1
_cell_length_a 6.300
_cell_length_b 6.326
_cell_length_c 6.428
_cell_angle_alpha 112.49
_cell_angle_beta 100.85
_cell_angle_gamma 114.46
loop_
_space_group_symop_operation_xyz
'x,y,z'
loop_
_atom_site_label
_atom_site_fract_x
_atom_site_fract_y
_atom_site_fract_z
Ba1 0.000 0.000 0.000
Tc1 0.464 0.944 0.492
Ag1 0.189 0.501 0.666
Ag2 0.844 0.536 0.322
Se1 0.536 0.360 0.523
S1 0.146 0.606 0.118
S2 0.481 0.007 0.865
S3 0.839 0.007 0.478
```

Entry 4:
BaSiAg2Te2S2: theoretical powder diffractogram (CuKα), based on a PBE-relaxed structure.
Kinematic intensities with the Lorentz-polarization factor, no thermal factor.

Largest 10 diffraction maxima, in order of falling intensity, 2θ from 10° to 90°:
2θ = 27.27°, I = 100, (3 1 -1); 2θ = 35.05°, I = 83, (2 2 -2); 2θ = 26.69°, I = 78, (1 1 1); 2θ = 33.34°, I = 76, (3 1 0); 2θ = 29.24°, I = 74, (2 2 -1); 2θ = 15.93°, I = 52, (0 0 1); 2θ = 29.53°, I = 49, (1 1 -2); 2θ = 43.95°, I = 44, (1 3 1); 2θ = 44.87°, I = 36, (1 1 -3); 2θ = 39.85°, I = 32, (4 0 -3)

Structural model:
```
data_BaSiAg2Te2S2
_space_group_name_H-M_alt 'C 1 2 1'
_space_group_IT_number 5
_cell_length_a 11.027
_cell_length_b 7.404
_cell_length_c 7.090
_cell_angle_alpha 90.00
_cell_angle_beta 128.30
_cell_angle_gamma 90.00
loop_
_space_group_symop_operation_xyz
'x,y,z'
'-x,y,-z'
'x+1/2,y+1/2,z'
'-x+1/2,y+1/2,-z'
loop_
_atom_site_label
_atom_site_fract_x
_atom_site_fract_y
_atom_site_fract_z
Ba1 0.000 0.000 0.000
Si1 0.000 0.563 0.500
Ag1 0.181 0.525 0.214
Te1 0.150 0.342 0.850
S1 0.155 0.719 0.479
```

Entry 5:
BaSiAg2Te2S2: theoretical powder diffractogram (CuKα), based on a PBE-relaxed structure.
Kinematic intensities with the Lorentz-polarization factor, no thermal factor.

Largest 10 diffraction maxima, in order of falling intensity, 2θ from 10° to 90°:
2θ = 27.78°, I = 100, (2 2 -1); 2θ = 26.70°, I = 53, (0 2 1); 2θ = 16.25°, I = 37, (0 0 1); 2θ = 33.98°, I = 35, (1 3 0); 2θ = 36.27°, I = 31, (4 0 -2); 2θ = 32.87°, I = 29, (0 0 2); 2θ = 39.25°, I = 28, (3 1 -3); 2θ = 53.60°, I = 18, (1 3 2); 2θ = 50.14°, I = 18, (3 3 -3); 2θ = 28.63°, I = 17, (1 1 -2)

Structural model:
```
data_BaSiAg2Te2S2
_space_group_name_H-M_alt 'C 1 2 1'
_space_group_IT_number 5
_cell_length_a 9.920
_cell_length_b 8.452
_cell_length_c 7.183
_cell_angle_alpha 90.00
_cell_angle_beta 130.69
_cell_angle_gamma 90.00
loop_
_space_group_symop_operation_xyz
'x,y,z'
'-x,y,-z'
'x+1/2,y+1/2,z'
'-x+1/2,y+1/2,-z'
loop_
_atom_site_label
_atom_site_fract_x
_atom_site_fract_y
_atom_site_fract_z
Ba1 0.000 0.000 0.000
Si1 0.000 0.469 0.000
Ag1 0.000 0.337 0.500
Ag2 0.000 0.697 0.500
Te1 0.200 0.647 0.378
S1 0.166 0.332 0.971
```

Entry 6:
BaSiAg2Te2S2: theoretical powder diffractogram (CuKα), based on a PBE-relaxed structure.
Kinematic intensities with the Lorentz-polarization factor, no thermal factor.

Largest 10 diffraction maxima, in order of falling intensity, 2θ from 10° to 90°:
2θ = 27.64°, I = 100, (2 0 2); 2θ = 26.74°, I = 98, (0 2 2); 2θ = 28.51°, I = 78, (1 3 1); 2θ = 49.65°, I = 55, (2 2 4); 2θ = 45.62°, I = 46, (4 2 2); 2θ = 36.25°, I = 44, (4 0 0); 2θ = 43.87°, I = 42, (2 4 2); 2θ = 38.57°, I = 33, (3 3 1); 2θ = 33.38°, I = 33, (0 4 0); 2θ = 32.37°, I = 27, (2 2 2)

Structural model:
```
data_BaSiAg2Te2S2
_space_group_name_H-M_alt 'F m m 2'
_space_group_IT_number 42
_space_group_name_Hall 'F 2 -2'
_cell_length_a 9.911
_cell_length_b 10.738
_cell_length_c 8.505
_cell_angle_alpha 90.00
_cell_angle_beta 90.00
_cell_angle_gamma 90.00
loop_
_atom_site_label
_atom_site_fract_x
_atom_site_fract_y
_atom_site_fract_z
Ba1 0.000 0.000 0.000
Si1 0.000 0.000 0.471
Ag1 0.250 0.250 0.271
Te1 0.000 0.192 0.647
S1 0.181 0.000 0.337
```

Entry 7:
Ba2YAg5S6: theoretical powder diffractogram (CuKα), based on a PBE-relaxed structure.
Kinematic intensities with the Lorentz-polarization factor, no thermal factor.

Largest 10 diffraction maxima, in order of falling intensity, 2θ from 10° to 90°:
2θ = 29.20°, I = 100, (3 1 -1); 2θ = 27.59°, I = 37, (1 1 2); 2θ = 43.05°, I = 36, (0 2 0); 2θ = 38.63°, I = 35, (3 1 3); 2θ = 31.85°, I = 33, (0 0 4); 2θ = 41.90°, I = 27, (3 1 -4); 2θ = 23.72°, I = 22, (0 0 3); 2θ = 28.58°, I = 20, (3 1 0); 2θ = 40.10°, I = 19, (5 1 1); 2θ = 54.53°, I = 19, (0 2 4)

Structural model:
```
data_Ba2YAg5S6
_space_group_name_H-M_alt 'C 1 2/m 1'
_space_group_IT_number 12
_cell_length_a 14.065
_cell_length_b 4.203
_cell_length_c 11.292
_cell_angle_alpha 90.00
_cell_angle_beta 95.24
_cell_angle_gamma 90.00
loop_
_space_group_symop_operation_xyz
'x,y,z'
'-x,-y,-z'
'-x,y,-z'
'x,-y,z'
'x+1/2,y+1/2,z'
'-x+1/2,-y+1/2,-z'
'-x+1/2,y+1/2,-z'
'x+1/2,-y+1/2,z'
loop_
_atom_site_label
_atom_site_fract_x
_atom_site_fract_y
_atom_site_fract_z
Ba1 0.246 0.000 0.298
Y1 0.000 0.000 0.500
Ag1 0.000 0.500 0.000
Ag2 0.018 0.500 0.255
Ag3 0.146 0.000 0.959
S1 0.088 0.000 0.733
S2 0.125 0.500 0.454
S3 0.158 0.500 0.102
```

Entry 8:
BaZnAgSb2: theoretical powder diffractogram (CuKα), based on a PBE-relaxed structure.
Kinematic intensities with the Lorentz-polarization factor, no thermal factor.

Largest 10 diffraction maxima, in order of falling intensity, 2θ from 10° to 90°:
2θ = 32.71°, I = 100, (1 1 2); 2θ = 34.16°, I = 92, (1 5 1); 2θ = 32.58°, I = 53, (0 6 1); 2θ = 39.03°, I = 44, (2 0 0); 2θ = 24.34°, I = 37, (1 3 0); 2θ = 27.60°, I = 36, (0 2 2); 2θ = 25.72°, I = 28, (0 0 2); 2θ = 51.72°, I = 28, (2 6 1); 2θ = 49.86°, I = 22, (0 6 3); 2θ = 41.13°, I = 22, (1 5 2)

Structural model:
```
data_BaZnAgSb2
_space_group_name_H-M_alt 'C m c 21'
_space_group_IT_number 36
_cell_length_a 4.616
_cell_length_b 17.979
_cell_length_c 6.926
_cell_angle_alpha 90.00
_cell_angle_beta 90.00
_cell_angle_gamma 90.00
loop_
_space_group_symop_operation_xyz
'x,y,z'
'-x,-y,z+1/2'
'-x,y,z'
'x,-y,z+1/2'
'x+1/2,y+1/2,z'
'-x+1/2,-y+1/2,z+1/2'
'-x+1/2,y+1/2,z'
'x+1/2,-y+1/2,z+1/2'
loop_
_atom_site_label
_atom_site_fract_x
_atom_site_fract_y
_atom_site_fract_z
Ba1 0.000 0.145 0.000
Zn1 0.000 0.353 0.904
Ag1 0.000 0.051 0.542
Sb1 0.000 0.210 0.511
Sb2 0.000 0.497 0.760
```

Entry 9:
BaScAgSe3: theoretical powder diffractogram (CuKα), based on a PBE-relaxed structure.
Kinematic intensities with the Lorentz-polarization factor, no thermal factor.

Largest 10 diffraction maxima, in order of falling intensity, 2θ from 10° to 90°:
2θ = 29.98°, I = 100, (1 1 3); 2θ = 33.49°, I = 49, (2 1 3); 2θ = 34.07°, I = 40, (4 0 0); 2θ = 30.89°, I = 36, (2 0 4); 2θ = 52.50°, I = 33, (5 1 3); 2θ = 42.71°, I = 32, (2 0 6); 2θ = 43.10°, I = 31, (0 2 0); 2θ = 38.70°, I = 24, (3 1 3); 2θ = 16.84°, I = 21, (2 0 0); 2θ = 56.04°, I = 18, (4 2 0)

Structural model:
```
data_BaScAgSe3
_space_group_name_H-M_alt 'P n m a'
_space_group_IT_number 62
_cell_length_a 10.527
_cell_length_b 4.198
_cell_length_c 13.865
_cell_angle_alpha 90.00
_cell_angle_beta 90.00
_cell_angle_gamma 90.00
loop_
_space_group_symop_operation_xyz
'x,y,z'
'-x,-y,-z'
'-x+1/2,-y,z+1/2'
'x+1/2,y,-z+1/2'
'x+1/2,-y+1/2,-z+1/2'
'-x+1/2,y+1/2,z+1/2'
'-x,y+1/2,-z'
'x,-y+1/2,z'
loop_
_atom_site_label
_atom_site_fract_x
_atom_site_fract_y
_atom_site_fract_z
Ba1 0.250 0.250 0.004
Sc1 0.003 0.250 0.251
Ag1 0.247 0.250 0.716
Se1 0.038 0.250 0.617
Se2 0.043 0.750 0.118
Se3 0.247 0.750 0.827
```

Entry 10:
BaSiAg2TeSe3: theoretical powder diffractogram (CuKα), based on a PBE-relaxed structure.
Kinematic intensities with the Lorentz-polarization factor, no thermal factor.

Largest 10 diffraction maxima, in order of falling intensity, 2θ from 10° to 90°:
2θ = 27.42°, I = 100, (2 0 -1); 2θ = 29.35°, I = 57, (1 -2 0); 2θ = 27.23°, I = 52, (1 1 -2); 2θ = 35.35°, I = 49, (2 -2 0); 2θ = 34.41°, I = 47, (0 0 2); 2θ = 27.03°, I = 42, (1 1 0); 2θ = 33.89°, I = 35, (1 2 -1); 2θ = 28.72°, I = 31, (0 1 1); 2θ = 34.02°, I = 30, (2 1 -2); 2θ = 28.87°, I = 26, (1 0 -2)

Structural model:
```
data_BaSiAg2TeSe3
_space_group_name_H-M_alt 'P 1'
_space_group_IT_number 1
_cell_length_a 6.614
_cell_length_b 6.619
_cell_length_c 6.696
_cell_angle_alpha 112.08
_cell_angle_beta 115.25
_cell_angle_gamma 100.39
loop_
_space_group_symop_operation_xyz
'x,y,z'
loop_
_atom_site_label
_atom_site_fract_x
_atom_site_fract_y
_atom_site_fract_z
Ba1 0.000 0.000 0.000
Si1 0.530 0.530 0.035
Ag1 0.200 0.686 0.519
Ag2 0.808 0.322 0.506
Te1 0.168 0.163 0.630
Se1 0.486 0.860 0.016
Se2 0.538 0.546 0.388
Se3 0.865 0.489 0.029
```

Entry 11:
BaAg2SnSe4: theoretical powder diffractogram (CuKα), based on a PBE-relaxed structure.
Kinematic intensities with the Lorentz-polarization factor, no thermal factor.

Largest 10 diffraction maxima, in order of falling intensity, 2θ from 10° to 90°:
2θ = 26.70°, I = 100, (0 3 1); 2θ = 33.62°, I = 84, (2 2 2); 2θ = 21.14°, I = 81, (2 1 1); 2θ = 34.17°, I = 73, (4 2 0); 2θ = 45.82°, I = 63, (3 1 3); 2θ = 27.10°, I = 57, (3 1 1); 2θ = 25.40°, I = 47, (0 0 2); 2θ = 29.92°, I = 43, (0 2 2); 2θ = 34.98°, I = 41, (2 4 0); 2θ = 27.76°, I = 41, (1 3 1)

Structural model:
```
data_BaAg2SnSe4
_space_group_name_H-M_alt 'A m a 2'
_space_group_IT_number 40
_cell_length_a 11.825
_cell_length_b 11.390
_cell_length_c 7.014
_cell_angle_alpha 90.00
_cell_angle_beta 90.00
_cell_angle_gamma 90.00
loop_
_space_group_symop_operation_xyz
'x,y,z'
'-x,-y,z'
'-x+1/2,y,z'
'x+1/2,-y,z'
'x,y+1/2,z+1/2'
'-x,-y+1/2,z+1/2'
'-x+1/2,y+1/2,z+1/2'
'x+1/2,-y+1/2,z+1/2'
loop_
_atom_site_label
_atom_site_fract_x
_atom_site_fract_y
_atom_site_fract_z
Ba1 0.000 0.000 0.000
Ag1 0.129 0.208 0.407
Sn1 0.250 0.353 0.914
Se1 0.077 0.247 0.770
Se2 0.250 0.046 0.218
Se3 0.250 0.405 0.268
```

Entry 12:
BaAg2SnTeSe3: theoretical powder diffractogram (CuKα), based on a PBE-relaxed structure.
Kinematic intensities with the Lorentz-polarization factor, no thermal factor.

Largest 10 diffraction maxima, in order of falling intensity, 2θ from 10° to 90°:
2θ = 26.63°, I = 100, (1 1 -2); 2θ = 26.82°, I = 87, (0 2 -1); 2θ = 33.63°, I = 65, (0 0 2); 2θ = 34.24°, I = 62, (2 -2 0); 2θ = 15.43°, I = 33, (0 1 -1); 2θ = 33.34°, I = 31, (2 1 -1); 2θ = 44.76°, I = 30, (1 -3 0); 2θ = 43.03°, I = 30, (1 -3 2); 2θ = 28.01°, I = 28, (1 0 1); 2θ = 49.29°, I = 25, (3 0 -3)

Structural model:
```
data_BaAg2SnTeSe3
_space_group_name_H-M_alt 'P 1'
_space_group_IT_number 1
_cell_length_a 6.784
_cell_length_b 6.787
_cell_length_c 6.856
_cell_angle_alpha 115.76
_cell_angle_beta 111.15
_cell_angle_gamma 101.32
loop_
_space_group_symop_operation_xyz
'x,y,z'
loop_
_atom_site_label
_atom_site_fract_x
_atom_site_fract_y
_atom_site_fract_z
Ba1 0.000 0.000 0.000
Ag1 0.333 0.816 0.507
Ag2 0.677 0.191 0.512
Sn1 0.525 0.526 0.031
Te1 0.133 0.127 0.602
Se1 0.493 0.896 0.029
Se2 0.537 0.535 0.414
Se3 0.880 0.479 0.997
```

Entry 13:
BaSiAg3: theoretical powder diffractogram (CuKα), based on a PBE-relaxed structure.
Kinematic intensities with the Lorentz-polarization factor, no thermal factor.

Largest 10 diffraction maxima, in order of falling intensity, 2θ from 10° to 90°:
2θ = 31.85°, I = 100, (1 2 2); 2θ = 38.88°, I = 46, (0 4 0); 2θ = 66.02°, I = 23, (1 6 2); 2θ = 38.23°, I = 21, (2 2 0); 2θ = 56.16°, I = 15, (0 4 4); 2θ = 55.67°, I = 14, (2 4 2); 2θ = 43.10°, I = 10, (2 2 2); 2θ = 51.73°, I = 10, (2 4 0); 2θ = 25.20°, I = 10, (1 2 0); 2θ = 21.17°, I = 10, (1 1 1)

Structural model:
```
data_BaSiAg3
_space_group_name_H-M_alt 'A e m 2'
_space_group_IT_number 39
_cell_length_a 5.467
_cell_length_b 9.265
_cell_length_c 9.265
_cell_angle_alpha 90.00
_cell_angle_beta 90.00
_cell_angle_gamma 90.00
loop_
_space_group_symop_operation_xyz
'x,y,z'
'-x,-y,z'
'-x,y+1/2,z'
'x,-y+1/2,z'
'x,y+1/2,z+1/2'
'-x,-y+1/2,z+1/2'
'-x,y,z+1/2'
'x,-y,z+1/2'
loop_
_atom_site_label
_atom_site_fract_x
_atom_site_fract_y
_atom_site_fract_z
Ba1 0.000 0.000 0.000
Si1 0.287 0.250 0.249
Ag1 0.185 0.250 0.750
Ag2 0.500 0.000 0.251
Ag3 0.500 0.250 0.499
```